1.
The following is a theoretical powder XRD pattern of CeMn6. It was derived from DFT lattice parameters and positions (GGA-PBE), using copper Kα.
Kinematic intensities with the Lorentz-polarization factor, no thermal factor.

```
CeMn6
1.0
7.8903 0.0000 0.0000
0.0000 4.6953 0.0000
0.0000 0.0000 10.2338
Ce Mn
4 24
Direct
0.2449 0.2500 0.0590
0.2551 0.7500 0.5590
0.7449 0.2500 0.4410
0.7551 0.7500 0.9410
0.0568 0.7500 0.0870
0.0684 0.0113 0.3068
0.0684 0.4887 0.3068
0.0973 0.2500 0.5247
0.1415 0.7500 0.8502
0.1900 0.2500 0.7572
0.3100 0.7500 0.2572
0.3585 0.2500 0.3502
0.4027 0.7500 0.0247
0.4316 0.5113 0.8068
0.4316 0.9887 0.8068
0.4432 0.2500 0.5870
0.5568 0.7500 0.4130
0.5684 0.0113 0.1932
0.5684 0.4887 0.1932
0.5973 0.2500 0.9753
0.6415 0.7500 0.6498
0.6900 0.2500 0.7428
0.8100 0.7500 0.2428
0.8585 0.2500 0.1498
0.9027 0.7500 0.4753
0.9316 0.5113 0.6932
0.9316 0.9887 0.6932
0.9432 0.2500 0.9130
```

The 8 most intense peaks (10° ≤ 2θ ≤ 90°), low angle first:
| 2θ (°) | d/Å | intensity |
| --- | --- | --- |
| 36.94 | 2.434 | 70.0 |
| 38.34 | 2.348 | 31.0 |
| 39.86 | 2.261 | 85.7 |
| 40.28 | 2.239 | 100.0 |
| 42.36 | 2.134 | 27.0 |
| 44.93 | 2.017 | 25.1 |
| 45.83 | 1.980 | 41.9 |
| 48.47 | 1.878 | 27.8 |

2.
The following is a theoretical powder XRD pattern of NaLi2PO4. It was derived from DFT lattice parameters and positions (GGA-PBE), using copper Kα.
Kinematic intensities with the Lorentz-polarization factor, no thermal factor.

```
NaLi2PO4
1.0
4.8919 0.0000 0.0000
0.0000 4.8919 0.0000
0.0000 0.0000 7.2244
Na Li P O
2 4 2 8
Direct
0.0000 0.0000 0.0000
0.5000 0.5000 0.5000
0.0000 0.5000 0.2500
0.0000 0.5000 0.7500
0.5000 0.0000 0.2500
0.5000 0.0000 0.7500
0.0000 0.0000 0.5000
0.5000 0.5000 0.0000
0.1850 0.1850 0.3763
0.1850 0.8150 0.6237
0.3150 0.3150 0.8763
0.3150 0.6850 0.1237
0.6850 0.3150 0.1237
0.6850 0.6850 0.8763
0.8150 0.1850 0.6237
0.8150 0.8150 0.3763
```

The 8 most intense peaks (10° ≤ 2θ ≤ 90°), low angle first:
| 2θ (°) | d/Å | intensity |
| --- | --- | --- |
| 21.94 | 4.051 | 39.4 |
| 24.65 | 3.612 | 20.6 |
| 25.76 | 3.459 | 53.9 |
| 35.95 | 2.498 | 100.0 |
| 43.21 | 2.094 | 14.4 |
| 52.94 | 1.730 | 17.7 |
| 64.09 | 1.453 | 23.3 |
| 65.66 | 1.422 | 18.6 |

3.
The following is a theoretical powder XRD pattern of Nd4InGa12. It was derived from DFT lattice parameters and positions (GGA-PBE), using copper Kα.
Kinematic intensities with the Lorentz-polarization factor, no thermal factor.

```
Nd4InGa12
1.0
-4.4878 4.4878 4.4878
4.4878 -4.4878 4.4878
4.4878 4.4878 -4.4878
Nd In Ga
4 1 12
Direct
0.0000 0.0000 0.5000
0.0000 0.5000 0.0000
0.5000 0.0000 0.0000
0.5000 0.5000 0.5000
0.0000 0.0000 0.0000
0.0000 0.3201 0.3201
0.0000 0.6799 0.6799
0.2500 0.5000 0.7500
0.2500 0.7500 0.5000
0.3201 0.0000 0.3201
0.3201 0.3201 0.0000
0.5000 0.2500 0.7500
0.5000 0.7500 0.2500
0.6799 0.0000 0.6799
0.6799 0.6799 0.0000
0.7500 0.2500 0.5000
0.7500 0.5000 0.2500
```

The 8 most intense peaks (10° ≤ 2θ ≤ 90°), low angle first:
| 2θ (°) | d/Å | intensity |
| --- | --- | --- |
| 28.12 | 3.173 | 47.6 |
| 34.62 | 2.591 | 100.0 |
| 37.49 | 2.399 | 21.6 |
| 40.19 | 2.244 | 69.7 |
| 47.51 | 1.914 | 17.9 |
| 58.14 | 1.587 | 35.5 |
| 65.81 | 1.419 | 17.4 |
| 69.46 | 1.353 | 25.3 |